Starting from a cell relaxed with PBE+U, the XRD peak list of CoPt3O8 was calculated for CuKα.
Kinematic intensities with the Lorentz-polarization factor, no thermal factor.

Structure:
```
CoPt3O8
1.0
5.197 -3.094 0.000
5.197 3.094 0.000
-3.403 0.000 5.049
Co Pt O
1 3 8
Direct
0.000 0.000 0.000
0.000 0.500 0.500
0.500 0.000 0.500
0.500 0.500 0.000
0.223 0.223 0.258
0.223 0.745 0.779
0.255 0.777 0.221
0.265 0.265 0.732
0.735 0.735 0.268
0.745 0.223 0.779
0.777 0.255 0.221
0.777 0.777 0.742
```

Peak list (10 most intense, 2θ from 10° to 90°, sorted by position)
two_theta	Rel. int.
18.12	100
34.01	51
35.56	10
35.73	20
36.70	11
41.63	29
41.93	14
45.95	13
55.49	12
59.79	15